Structure and theoretical powder diffractogram of CsVNi2Br8 (a structure optimized by DFT (GGA-PBE); λ = 1.5418 Å (Cu Kα)).
Intensities are scaled so that the largest is 100.

Structural model:
a = 10.7968 Å, b = 10.7968 Å, c = 10.7968 Å
α = 35.85°, β = 35.85°, γ = 35.85°
Fractional positions:
1 Cs 0.0000 0.0000 0.0000
2 V 0.5000 0.5000 0.5000
3 Ni 0.2341 0.2341 0.2341
4 Ni 0.7659 0.7659 0.7659
5 Br 0.1450 0.4421 0.7661
6 Br 0.2339 0.8550 0.5579
7 Br 0.3112 0.3112 0.3112
8 Br 0.4421 0.7661 0.1450
9 Br 0.5579 0.2339 0.8550
10 Br 0.6888 0.6888 0.6888
11 Br 0.7661 0.1450 0.4421
12 Br 0.8550 0.5579 0.2339

The 10 most intense peaks (2θ = 5–70°), low angle first:
- d 4.582, I 53.8
- d 3.364, I 41.6
- d 3.323, I 14.0
- d 3.157, I 100.0
- d 2.775, I 69.1
- d 2.690, I 13.8
- d 2.009, I 26.1
- d 1.919, I 44.8
- d 1.725, I 14.2
- d 1.667, I 28.5



Structure and theoretical powder diffractogram of Nd6Dy2HoTh (a structure optimized by DFT (GGA-PBE); λ = 1.5418 Å (Cu Kα)).
Intensities are scaled so that the largest is 100.

Structural model:
a = 8.8731 Å, b = 8.8731 Å, c = 9.7764 Å
α = 94.24°, β = 94.24°, γ = 116.37°
Fractional positions:
1 Nd 0.0095 0.5742 0.1877
2 Nd 0.1102 0.7583 0.5571
3 Nd 0.2417 0.8898 0.9429
4 Nd 0.2978 0.5121 0.3811
5 Nd 0.4258 0.9905 0.3123
6 Nd 0.4879 0.7022 0.1189
7 Nd 0.5121 0.2978 0.8811
8 Nd 0.5742 0.0095 0.6877
9 Nd 0.7022 0.4879 0.6189
10 Nd 0.7583 0.1102 0.0571
11 Nd 0.8898 0.2417 0.4429
12 Nd 0.9905 0.4258 0.8123
13 Dy 0.1999 0.2902 0.0500
14 Dy 0.2902 0.1999 0.5500
15 Dy 0.7098 0.8001 0.4500
16 Dy 0.8001 0.7098 0.9500
17 Ho 0.4082 0.5918 0.7500
18 Ho 0.5918 0.4082 0.2500
19 Th 0.0280 0.9720 0.2500
20 Th 0.9720 0.0280 0.7500

The 10 most intense peaks (2θ = 5–70°), low angle first:
- d 3.255, I 26.3
- d 3.159, I 56.6
- d 3.007, I 57.3
- d 2.967, I 61.3
- d 2.894, I 77.4
- d 2.869, I 100.0
- d 2.783, I 33.8
- d 2.738, I 22.8
- d 2.693, I 34.6
- d 2.659, I 19.6



Structure and theoretical powder diffractogram of V2HPd9 (a structure optimized by DFT (GGA-PBE); λ = 1.5418 Å (Cu Kα)).
Intensities are scaled so that the largest is 100.

Structural model:
a = 3.8837 Å, b = 3.8837 Å, c = 11.4351 Å
α = 90.00°, β = 90.00°, γ = 90.00°
Fractional positions:
1 V 0.0000 0.0000 0.1805
2 V 0.0000 0.0000 0.8195
3 H 0.0000 0.0000 0.5000
4 Pd 0.0000 0.5000 0.0000
5 Pd 0.0000 0.5000 0.3351
6 Pd 0.0000 0.5000 0.6649
7 Pd 0.5000 0.0000 0.0000
8 Pd 0.5000 0.0000 0.3351
9 Pd 0.5000 0.0000 0.6649
10 Pd 0.5000 0.5000 0.1671
11 Pd 0.5000 0.5000 0.5000
12 Pd 0.5000 0.5000 0.8329

The 10 most intense peaks (2θ = 5–70°), low angle first:
- d 3.884, I 9.6
- d 3.812, I 4.7
- d 2.746, I 3.9
- d 2.720, I 7.9
- d 2.228, I 100.0
- d 1.942, I 32.9
- d 1.906, I 15.1
- d 1.580, I 3.1
- d 1.373, I 10.2
- d 1.360, I 19.3



Structure and theoretical powder diffractogram of Ac2Pr9Nd (a structure optimized by DFT (GGA-PBE); λ = 1.5418 Å (Cu Kα)).
Intensities are scaled so that the largest is 100.

Structural model:
a = 6.2407 Å, b = 6.2407 Å, c = 11.5197 Å
α = 90.00°, β = 90.00°, γ = 90.00°
Fractional positions:
1 Ac 0.0000 0.0000 0.1707
2 Ac 0.0000 0.0000 0.8293
3 Pr 0.0000 0.5000 0.0000
4 Pr 0.0000 0.5000 0.3404
5 Pr 0.0000 0.5000 0.6596
6 Pr 0.5000 0.0000 0.0000
7 Pr 0.5000 0.0000 0.3404
8 Pr 0.5000 0.0000 0.6596
9 Pr 0.5000 0.5000 0.1644
10 Pr 0.5000 0.5000 0.5000
11 Pr 0.5000 0.5000 0.8356
12 Nd 0.0000 0.0000 0.5000

The 10 most intense peaks (2θ = 5–70°), low angle first:
- d 3.120, I 61.3
- d 2.897, I 100.0
- d 2.206, I 23.5
- d 1.920, I 7.5
- d 1.755, I 46.4
- d 1.635, I 18.1
- d 1.560, I 8.0
- d 1.448, I 12.1
- d 1.395, I 10.9
- d 1.374, I 10.3



Structure and theoretical powder diffractogram of Sr6Bi2AsO (a structure optimized by DFT (GGA-PBE); λ = 1.5418 Å (Cu Kα)).
Intensities are scaled so that the largest is 100.

Structural model:
a = 5.6924 Å, b = 5.6924 Å, c = 10.8903 Å
α = 90.00°, β = 90.00°, γ = 90.00°
Fractional positions:
1 Sr 0.0000 0.0000 0.2256
2 Sr 0.0000 0.0000 0.7744
3 Sr 0.0000 0.5000 0.0000
4 Sr 0.0000 0.5000 0.5000
5 Sr 0.5000 0.0000 0.0000
6 Sr 0.5000 0.0000 0.5000
7 Bi 0.5000 0.5000 0.2290
8 Bi 0.5000 0.5000 0.7710
9 As 0.0000 0.0000 0.5000
10 O 0.0000 0.0000 0.0000

The 10 most intense peaks (2θ = 5–70°), low angle first:
- d 4.025, I 13.5
- d 3.935, I 24.7
- d 3.237, I 100.0
- d 2.846, I 56.6
- d 2.723, I 21.0
- d 2.306, I 12.4
- d 2.013, I 20.9
- d 1.967, I 32.5
- d 1.709, I 32.1
- d 1.618, I 17.4



Structure and theoretical powder diffractogram of AgBi2Au2 (a structure optimized by DFT (GGA-PBE); λ = 1.5418 Å (Cu Kα)).
Intensities are scaled so that the largest is 100.

Structural model:
a = 7.4769 Å, b = 7.4769 Å, c = 4.2625 Å
α = 90.00°, β = 90.00°, γ = 90.00°
Fractional positions:
1 Ag 0.0000 0.0000 0.0000
2 Ag 0.5000 0.5000 0.0000
3 Bi 0.1687 0.3313 0.5000
4 Bi 0.3313 0.8313 0.5000
5 Bi 0.6687 0.1687 0.5000
6 Bi 0.8313 0.6687 0.5000
7 Au 0.1372 0.6372 0.0000
8 Au 0.3628 0.1372 0.0000
9 Au 0.6372 0.8628 0.0000
10 Au 0.8628 0.3628 0.0000

The 10 most intense peaks (2θ = 5–70°), low angle first:
- d 5.287, I 8.4
- d 2.811, I 11.7
- d 2.631, I 100.0
- d 2.364, I 28.9
- d 2.131, I 16.0
- d 1.869, I 5.3
- d 1.762, I 7.4
- d 1.669, I 12.2
- d 1.583, I 16.8
- d 1.358, I 6.5



Structure and theoretical powder diffractogram of InSbMo2 (a structure optimized by DFT (GGA-PBE); λ = 1.5418 Å (Cu Kα)).
Intensities are scaled so that the largest is 100.

Structural model:
a = 4.4257 Å, b = 5.4841 Å, c = 5.4841 Å
α = 36.36°, β = 90.00°, γ = 90.00°
Fractional positions:
1 In 0.0000 0.0000 0.0000
2 Sb 0.5000 0.3113 0.3113
3 Mo 0.0000 0.7235 0.7235
4 Mo 0.5000 0.5918 0.5918

The 10 most intense peaks (2θ = 5–70°), low angle first:
- d 2.620, I 100.0
- d 2.438, I 46.8
- d 2.245, I 54.4
- d 2.213, I 37.7
- d 2.135, I 39.4
- d 1.711, I 16.6
- d 1.638, I 26.8
- d 1.365, I 12.9
- d 1.361, I 21.1
- d 1.354, I 15.0



Structure and theoretical powder diffractogram of Na3B4C2 (a structure optimized by DFT (GGA-PBE); λ = 1.5418 Å (Cu Kα)).
Intensities are scaled so that the largest is 100.

Structural model:
a = 8.5470 Å, b = 7.7572 Å, c = 7.7572 Å
α = 21.01°, β = 90.00°, γ = 90.00°
Fractional positions:
1 Na 0.2448 0.0000 0.0000
2 Na 0.2477 0.3337 0.3337
3 Na 0.2481 0.6674 0.6674
4 Na 0.7523 0.3337 0.3337
5 Na 0.7519 0.6674 0.6674
6 Na 0.7552 0.0000 0.0000
7 B 0.0000 0.1105 0.1105
8 B 0.0000 0.4435 0.4435
9 B 0.0000 0.7767 0.7767
10 B 0.5000 0.1123 0.1123
11 B 0.5000 0.2188 0.2188
12 B 0.5000 0.5449 0.5449
13 B 0.5000 0.7854 0.7854
14 B 0.5000 0.8950 0.8950
15 C 0.0000 0.2219 0.2219
16 C 0.0000 0.5554 0.5554
17 C 0.0000 0.8886 0.8886
18 C 0.5000 0.4448 0.4448

The 10 most intense peaks (2θ = 5–70°), low angle first:
- d 4.273, I 1.1
- d 2.542, I 7.6
- d 2.472, I 12.4
- d 2.185, I 36.5
- d 2.139, I 100.0
- d 1.636, I 4.0
- d 1.617, I 6.9
- d 1.454, I 12.8
- d 1.414, I 5.9
- d 1.376, I 1.3



Structure and theoretical powder diffractogram of IF (a structure optimized by DFT (GGA-PBE); λ = 1.5418 Å (Cu Kα)).
Intensities are scaled so that the largest is 100.

Structural model:
a = 8.8685 Å, b = 8.8685 Å, c = 8.8685 Å
α = 159.47°, β = 134.32°, γ = 50.57°
Fractional positions:
1 I 0.0000 0.0000 0.0000
2 I 0.3619 0.3619 0.0000
3 I 0.6381 0.6381 0.0000
4 F 0.2394 0.2394 0.0000
5 F 0.5000 0.5000 0.0000
6 F 0.7606 0.7606 0.0000

The 10 most intense peaks (2θ = 5–70°), low angle first:
- d 4.222, I 100.0
- d 3.442, I 59.4
- d 2.908, I 17.4
- d 2.872, I 73.0
- d 2.721, I 32.1
- d 2.135, I 32.0
- d 2.110, I 23.6
- d 1.957, I 13.0
- d 1.857, I 22.0
- d 1.644, I 19.4



Structure and theoretical powder diffractogram of GdDy3Ni4 (a structure optimized by DFT (GGA-PBE); λ = 1.5418 Å (Cu Kα)).
Intensities are scaled so that the largest is 100.

Structural model:
a = 5.4225 Å, b = 4.2200 Å, c = 7.0267 Å
α = 90.00°, β = 90.18°, γ = 90.00°
Fractional positions:
1 Gd 0.0000 0.0000 0.0000
2 Dy 0.2329 0.0000 0.4998
3 Dy 0.5003 0.5000 0.1401
4 Dy 0.7326 0.5000 0.6382
5 Ni 0.2416 0.5000 0.7806
6 Ni 0.4933 0.0000 0.8559
7 Ni 0.7379 0.0000 0.3583
8 Ni 0.9933 0.5000 0.2844

The 10 most intense peaks (2θ = 5–70°), low angle first:
- d 3.330, I 38.2
- d 3.009, I 84.8
- d 2.700, I 100.0
- d 2.530, I 91.0
- d 2.417, I 88.3
- d 2.170, I 79.0
- d 2.150, I 42.9
- d 2.110, I 53.8
- d 1.621, I 57.4
- d 1.506, I 27.2



Structure and theoretical powder diffractogram of CsMnC3N3 (a structure optimized by DFT (GGA-PBE); λ = 1.5418 Å (Cu Kα)).
Intensities are scaled so that the largest is 100.

Structural model:
a = 7.1483 Å, b = 7.1483 Å, c = 7.1483 Å
α = 60.00°, β = 60.00°, γ = 60.00°
Fractional positions:
1 Cs 0.2500 0.2500 0.2500
2 Cs 0.7500 0.7500 0.7500
3 Mn 0.0000 0.0000 0.0000
4 Mn 0.5000 0.5000 0.5000
5 C 0.1901 0.1901 0.8099
6 C 0.1901 0.8099 0.1901
7 C 0.1901 0.8099 0.8099
8 C 0.8099 0.1901 0.1901
9 C 0.8099 0.1901 0.8099
10 C 0.8099 0.8099 0.1901
11 N 0.3075 0.3075 0.6925
12 N 0.3075 0.6925 0.3075
13 N 0.3075 0.6925 0.6925
14 N 0.6925 0.3075 0.3075
15 N 0.6925 0.3075 0.6925
16 N 0.6925 0.6925 0.3075

The 10 most intense peaks (2θ = 5–70°), low angle first:
- d 3.574, I 100.0
- d 2.918, I 21.8
- d 2.527, I 36.4
- d 2.261, I 8.0
- d 2.064, I 34.0
- d 1.787, I 19.7
- d 1.685, I 5.7
- d 1.598, I 25.1
- d 1.459, I 5.5
- d 1.351, I 23.7



Structure and theoretical powder diffractogram of HoZr2In2 (a structure optimized by DFT (GGA-PBE); λ = 1.5418 Å (Cu Kα)).
Intensities are scaled so that the largest is 100.

Structural model:
a = 4.8414 Å, b = 4.8414 Å, c = 6.4385 Å
α = 90.00°, β = 90.00°, γ = 116.23°
Fractional positions:
1 Ho 0.0000 0.0000 0.0000
2 Zr 0.1765 0.8235 0.5000
3 Zr 0.8235 0.1765 0.5000
4 In 0.5000 0.5000 0.2667
5 In 0.5000 0.5000 0.7333

The 10 most intense peaks (2θ = 5–70°), low angle first:
- d 4.111, I 29.4
- d 3.465, I 30.5
- d 2.586, I 100.0
- d 2.557, I 36.5
- d 2.416, I 11.8
- d 2.262, I 41.3
- d 2.057, I 21.1
- d 1.603, I 13.8
- d 1.482, I 17.4
- d 1.408, I 18.1



Structure and theoretical powder diffractogram of LaPu3Ru2 (a structure optimized by DFT (GGA-PBE); λ = 1.5418 Å (Cu Kα)).
Intensities are scaled so that the largest is 100.

Structural model:
a = 8.7651 Å, b = 8.7651 Å, c = 9.3051 Å
α = 116.29°, β = 116.29°, γ = 26.29°
Fractional positions:
1 La 0.1255 0.1255 0.1387
2 La 0.8745 0.8745 0.8613
3 Pu 0.0068 0.0068 0.6526
4 Pu 0.3199 0.3199 0.1122
5 Pu 0.3343 0.3343 0.5157
6 Pu 0.6657 0.6657 0.4843
7 Pu 0.6801 0.6801 0.8878
8 Pu 0.9932 0.9932 0.3474
9 Ru 0.1932 0.1932 0.6886
10 Ru 0.4831 0.4831 0.1430
11 Ru 0.5169 0.5169 0.8570
12 Ru 0.8068 0.8068 0.3114

The 10 most intense peaks (2θ = 5–70°), low angle first:
- d 3.133, I 55.7
- d 2.926, I 36.2
- d 2.806, I 37.2
- d 2.673, I 100.0
- d 2.586, I 41.0
- d 2.534, I 63.9
- d 2.523, I 47.6
- d 2.379, I 68.7
- d 2.271, I 47.6
- d 1.993, I 53.8